# CsK2NpCl8
Computed powder diffractogram, λ = 1.5418 Å (Cu Kα). Input: a GGA-PBE-relaxed structure.

Structural model:
Cell: 6.3945 10.1801 6.9319 Å, 90.00 96.43 90.00°
Fractional coordinates of all 12 atoms:
Cs (0.0000, 0.0000, 0.0000)
K (0.5000, 0.2460, 0.5000)
K (0.5000, 0.7540, 0.5000)
Np (0.0000, 0.5000, 0.0000)
Cl (0.1218, 0.3193, 0.7815)
Cl (0.1218, 0.6807, 0.7815)
Cl (0.3515, 0.5000, 0.2178)
Cl (0.4939, 0.0000, 0.7516)
Cl (0.5061, 0.0000, 0.2484)
Cl (0.6485, 0.5000, 0.7822)
Cl (0.8782, 0.3193, 0.2185)
Cl (0.8782, 0.6807, 0.2185)

Main lines, in order of falling intensity (2θ = 10–90°):
| d (Å) | I_rel |
| --- | --- |
| 4.094 | 1000 |
| 2.697 | 969 |
| 6.888 | 853 |
| 4.430 | 789 |
| 4.955 | 675 |
| 3.551 | 507 |
| 6.354 | 469 |
| 2.517 | 464 |
| 5.090 | 461 |
| 3.178 | 447 |

# Cs2K2Cl2O
Computed powder diffractogram, λ = 1.5418 Å (Cu Kα). Input: a GGA-PBE-relaxed structure.

Structural model:
Cell: 8.3106 8.3106 8.0090 Å, 118.23 118.23 31.03°
Fractional coordinates of all 7 atoms:
Cs (0.0245, 0.0245, 0.2755)
Cs (0.9755, 0.9755, 0.7245)
K (0.3210, 0.3210, 0.2547)
K (0.6790, 0.6790, 0.7453)
Cl (0.3312, 0.3312, 0.8671)
Cl (0.6688, 0.6688, 0.1329)
O (0.5000, 0.5000, 0.5000)

Main lines, in order of falling intensity (2θ = 10–90°):
| d (Å) | I_rel |
| --- | --- |
| 3.214 | 1000 |
| 2.905 | 712 |
| 6.977 | 662 |
| 3.489 | 605 |
| 2.915 | 512 |
| 4.236 | 393 |
| 3.457 | 348 |
| 2.223 | 233 |
| 2.644 | 224 |
| 1.921 | 210 |

# CsK2PuCl5
Computed powder diffractogram, λ = 1.5418 Å (Cu Kα). Input: a GGA-PBE-relaxed structure.

Structural model:
Cell: 9.0469 9.0469 9.0469 Å, 144.99 128.91 63.44°
Fractional coordinates of all 9 atoms:
Cs (0.0000, 0.0000, 0.0000)
K (0.2915, 0.7915, 0.5000)
K (0.7085, 0.2085, 0.5000)
Pu (0.5000, 0.5000, 0.0000)
Cl (0.1185, 0.3642, 0.7544)
Cl (0.3902, 0.6358, 0.7544)
Cl (0.5000, 0.0000, 0.5000)
Cl (0.6098, 0.3642, 0.2456)
Cl (0.8815, 0.6358, 0.2456)

Main lines, in order of falling intensity (2θ = 10–90°):
| d (Å) | I_rel |
| --- | --- |
| 3.859 | 1000 |
| 7.696 | 611 |
| 2.740 | 386 |
| 6.960 | 288 |
| 1.931 | 266 |
| 3.480 | 260 |
| 4.463 | 229 |
| 2.721 | 221 |
| 2.914 | 214 |
| 2.565 | 213 |

# CsK2PuCl8
Computed powder diffractogram, λ = 1.5418 Å (Cu Kα). Input: a GGA-PBE-relaxed structure.

Structural model:
Cell: 6.5844 10.1604 6.6523 Å, 90.00 94.45 90.00°
Fractional coordinates of all 12 atoms:
Cs (0.0000, 0.0000, 0.0000)
K (0.5000, 0.2575, 0.5000)
K (0.5000, 0.7425, 0.5000)
Pu (0.0000, 0.5000, 0.0000)
Cl (0.2189, 0.5000, 0.3379)
Cl (0.2287, 0.3162, 0.8770)
Cl (0.2287, 0.6838, 0.8770)
Cl (0.2453, 0.0000, 0.4947)
Cl (0.7547, 0.0000, 0.5053)
Cl (0.7713, 0.3162, 0.1230)
Cl (0.7713, 0.6838, 0.1230)
Cl (0.7811, 0.5000, 0.6621)

Main lines, in order of falling intensity (2θ = 10–90°):
| d (Å) | I_rel |
| --- | --- |
| 4.021 | 1000 |
| 4.495 | 591 |
| 6.565 | 560 |
| 2.607 | 526 |
| 4.858 | 496 |
| 3.511 | 416 |
| 6.632 | 413 |
| 2.489 | 352 |
| 5.080 | 345 |
| 2.250 | 285 |

# CsK3Rb4Cl8
Computed powder diffractogram, λ = 1.5418 Å (Cu Kα). Input: a GGA-PBE-relaxed structure.

Structural model:
Cell: 9.3750 9.3750 9.3750 Å, 60.00 60.00 60.00°
Fractional coordinates of all 16 atoms:
Cs (0.0000, 0.0000, 0.0000)
K (0.0000, 0.5000, 0.5000)
K (0.5000, 0.0000, 0.5000)
K (0.5000, 0.5000, 0.0000)
Rb (0.0000, 0.0000, 0.5000)
Rb (0.0000, 0.5000, 0.0000)
Rb (0.5000, 0.0000, 0.0000)
Rb (0.5000, 0.5000, 0.5000)
Cl (0.2534, 0.2534, 0.2534)
Cl (0.2548, 0.2548, 0.7367)
Cl (0.2548, 0.7367, 0.2548)
Cl (0.2633, 0.7452, 0.7452)
Cl (0.7367, 0.2548, 0.2548)
Cl (0.7452, 0.2633, 0.7452)
Cl (0.7452, 0.7452, 0.2633)
Cl (0.7466, 0.7466, 0.7466)

Main lines, in order of falling intensity (2θ = 10–90°):
| d (Å) | I_rel |
| --- | --- |
| 3.315 | 1000 |
| 2.344 | 722 |
| 1.482 | 309 |
| 1.914 | 249 |
| 1.353 | 225 |
| 3.827 | 216 |
| 1.105 | 151 |
| 1.999 | 124 |
| 1.657 | 114 |
| 1.172 | 71 |

# CsK2SbCl8
Computed powder diffractogram, λ = 1.5418 Å (Cu Kα). Input: a GGA-PBE-relaxed structure.

Structural model:
Cell: 6.1455 7.4067 9.8264 Å, 91.30 97.68 104.62°
Fractional coordinates of all 12 atoms:
Cs (0.0000, 0.0000, 0.0000)
K (0.4943, 0.5653, 0.2325)
K (0.5057, 0.4347, 0.7675)
Sb (0.0000, 0.0000, 0.5000)
Cl (0.0556, 0.7640, 0.3340)
Cl (0.1945, 0.8757, 0.6895)
Cl (0.3567, 0.2195, 0.4638)
Cl (0.4064, 0.7259, 0.9545)
Cl (0.5936, 0.2741, 0.0455)
Cl (0.6433, 0.7805, 0.5362)
Cl (0.8055, 0.1243, 0.3105)
Cl (0.9444, 0.2360, 0.6660)

Main lines, in order of falling intensity (2θ = 10–90°):
| d (Å) | I_rel |
| --- | --- |
| 7.154 | 1000 |
| 4.058 | 956 |
| 5.258 | 765 |
| 2.868 | 648 |
| 4.135 | 508 |
| 2.429 | 408 |
| 2.793 | 345 |
| 4.861 | 320 |
| 3.915 | 293 |
| 2.368 | 274 |